# 1
For MoPO5, a structure optimized by DFT (GGA+U) gives the computed powder X-ray diffraction pattern in this record (CuKα).
Neutral-atom scattering factors, no anomalous dispersion.

```
MoPO5
1.0
7.660 0.000 0.000
0.000 6.467 0.000
0.000 0.000 7.571
Mo P O
4 4 20
direct
0.165 0.250 0.228
0.335 0.750 0.728
0.665 0.250 0.272
0.835 0.750 0.772
0.126 0.750 0.117
0.374 0.250 0.617
0.626 0.750 0.383
0.874 0.250 0.883
0.046 0.250 0.991
0.112 0.750 0.676
0.131 0.560 0.241
0.131 0.940 0.241
0.215 0.250 0.491
0.285 0.750 0.991
0.369 0.060 0.741
0.369 0.440 0.741
0.388 0.250 0.176
0.454 0.750 0.491
0.546 0.250 0.509
0.612 0.750 0.824
0.631 0.560 0.259
0.631 0.940 0.259
0.715 0.250 0.009
0.785 0.750 0.509
0.869 0.060 0.759
0.869 0.440 0.759
0.888 0.250 0.324
0.954 0.750 0.009
```

Largest 10 diffraction maxima, most intense first, 2θ = 10–90°:
| 2θ/deg | Rel. int. | (hkl) |
| --- | --- | --- |
| 26.07 | 100 | 2 0 1 |
| 18.04 | 93 | 0 1 1 |
| 27.59 | 67 | 0 2 0 |
| 38.30 | 45 | 0 1 3 |
| 23.50 | 42 | 0 0 2 |
| 56.07 | 31 | 0 3 3 |
| 43.68 | 27 | 0 3 1 |
| 16.46 | 21 | 1 0 1 |
| 26.26 | 19 | 1 0 2 |
| 29.56 | 18 | 2 1 1 |

=====

# 2
For Li9Mn2Co5O16, a structure optimized by DFT (GGA+U) gives the computed powder X-ray diffraction pattern in this record (CuKα).
Neutral-atom scattering factors, no anomalous dispersion.

```
Li9Mn2Co5O16
1.0
5.752 0.000 0.000
1.425 6.527 0.000
1.393 0.357 7.620
Li Mn Co O
9 2 5 16
direct
0.000 0.000 0.000
0.059 0.118 0.645
0.123 0.242 0.268
0.246 0.489 0.527
0.367 0.743 0.773
0.498 0.999 0.008
0.623 0.238 0.265
0.746 0.484 0.531
0.874 0.748 0.770
0.430 0.870 0.396
0.933 0.872 0.396
0.188 0.361 0.887
0.309 0.618 0.140
0.559 0.116 0.645
0.689 0.360 0.888
0.808 0.614 0.136
0.028 0.580 0.317
0.098 0.676 0.969
0.157 0.808 0.558
0.208 0.932 0.230
0.293 0.070 0.820
0.360 0.149 0.462
0.405 0.316 0.068
0.466 0.427 0.707
0.512 0.580 0.319
0.585 0.676 0.972
0.662 0.797 0.556
0.712 0.916 0.224
0.761 0.069 0.821
0.832 0.149 0.463
0.903 0.316 0.080
0.959 0.435 0.726
```

Largest 10 diffraction maxima, most intense first, 2θ = 10–90°:
| 2θ/deg | Rel. int. | (hkl) |
| --- | --- | --- |
| 18.32 | 100 | 0 1 -1 |
| 42.73 | 29 | 0 3 1 |
| 43.94 | 26 | 2 1 -2 |
| 44.19 | 26 | 2 0 3 |
| 35.39 | 16 | 0 2 2 |
| 62.87 | 15 | 2 4 -1 |
| 36.30 | 13 | 2 0 -1 |
| 36.50 | 12 | 2 1 2 |
| 47.66 | 9 | 2 3 0 |
| 63.41 | 7 | 2 3 4 |

=====

# 3
For Li5Mn4O8, a structure optimized by DFT (GGA+U) gives the computed powder X-ray diffraction pattern in this record (CuKα).
Neutral-atom scattering factors, no anomalous dispersion.

```
Li5Mn4O8
1.0
5.783 0.000 0.000
-0.148 5.827 0.000
-2.847 -2.835 4.903
Li Mn O
5 4 8
direct
0.000 0.000 0.000
0.000 0.000 0.500
0.078 0.684 0.168
0.500 0.000 0.500
0.922 0.316 0.832
0.000 0.500 0.500
0.500 0.000 0.000
0.500 0.500 0.000
0.500 0.500 0.500
0.249 0.722 0.986
0.255 0.262 0.498
0.259 0.254 0.995
0.275 0.750 0.524
0.725 0.250 0.476
0.741 0.746 0.005
0.745 0.738 0.502
0.751 0.278 0.014
```

Largest 10 diffraction maxima, most intense first, 2θ = 10–90°:
| 2θ/deg | Rel. int. | (hkl) |
| --- | --- | --- |
| 17.82 | 100 | 1 0 0 |
| 36.66 | 64 | 0 0 2 |
| 17.58 | 40 | 0 1 0 |
| 43.54 | 38 | 2 -2 0 |
| 44.71 | 38 | 2 2 -2 |
| 36.16 | 25 | 0 2 -2 |
| 31.57 | 17 | 0 1 -2 |
| 58.67 | 15 | 2 -2 2 |
| 59.38 | 14 | 2 2 -4 |
| 35.96 | 14 | 1 2 -1 |

=====

Repeat the first record exactly.
For MoPO5, a structure optimized by DFT (GGA+U) gives the computed powder X-ray diffraction pattern in this record (CuKα).
Neutral-atom scattering factors, no anomalous dispersion.

```
MoPO5
1.0
7.660 0.000 0.000
0.000 6.467 0.000
0.000 0.000 7.571
Mo P O
4 4 20
direct
0.165 0.250 0.228
0.335 0.750 0.728
0.665 0.250 0.272
0.835 0.750 0.772
0.126 0.750 0.117
0.374 0.250 0.617
0.626 0.750 0.383
0.874 0.250 0.883
0.046 0.250 0.991
0.112 0.750 0.676
0.131 0.560 0.241
0.131 0.940 0.241
0.215 0.250 0.491
0.285 0.750 0.991
0.369 0.060 0.741
0.369 0.440 0.741
0.388 0.250 0.176
0.454 0.750 0.491
0.546 0.250 0.509
0.612 0.750 0.824
0.631 0.560 0.259
0.631 0.940 0.259
0.715 0.250 0.009
0.785 0.750 0.509
0.869 0.060 0.759
0.869 0.440 0.759
0.888 0.250 0.324
0.954 0.750 0.009
```

Largest 10 diffraction maxima, most intense first, 2θ = 10–90°:
| 2θ/deg | Rel. int. | (hkl) |
| --- | --- | --- |
| 26.07 | 100 | 2 0 1 |
| 18.04 | 93 | 0 1 1 |
| 27.59 | 67 | 0 2 0 |
| 38.30 | 45 | 0 1 3 |
| 23.50 | 42 | 0 0 2 |
| 56.07 | 31 | 0 3 3 |
| 43.68 | 27 | 0 3 1 |
| 16.46 | 21 | 1 0 1 |
| 26.26 | 19 | 1 0 2 |
| 29.56 | 18 | 2 1 1 |